Computed X-ray powder pattern of Sm3TlSn2 for Cu Kα X-rays, from the PBE geometry in Alexandria.

Crystal structure
Cell: 12.736 4.707 11.908 Å, 90.00 90.00 90.00°
Fractional coordinates of all 24 atoms:
1 Sm 0.037 0.250 0.122
2 Sm 0.135 0.750 0.572
3 Sm 0.200 0.250 0.816
4 Sm 0.300 0.750 0.316
5 Sm 0.365 0.250 0.072
6 Sm 0.463 0.750 0.622
7 Sm 0.537 0.250 0.378
8 Sm 0.635 0.750 0.928
9 Sm 0.700 0.250 0.684
10 Sm 0.800 0.750 0.184
11 Sm 0.865 0.250 0.428
12 Sm 0.963 0.750 0.878
13 Tl 0.148 0.250 0.356
14 Tl 0.352 0.750 0.856
15 Tl 0.648 0.250 0.144
16 Tl 0.852 0.750 0.644
17 Sn 0.005 0.750 0.322
18 Sn 0.182 0.750 0.031
19 Sn 0.318 0.250 0.531
20 Sn 0.495 0.250 0.822
21 Sn 0.505 0.750 0.178
22 Sn 0.682 0.750 0.469
23 Sn 0.818 0.250 0.969
24 Sn 0.995 0.250 0.678

Largest 10 diffraction maxima, by angle, 2θ from 5° to 70°:
27.93 deg, rel. 27.9, (2 1 2); 29.43 deg, rel. 19.5, (0 1 3); 30.84 deg, rel. 25.0, (1 0 4); 32.13 deg, rel. 100.0, (3 1 2); 34.84 deg, rel. 16.3, (4 1 1); 37.29 deg, rel. 12.7, (4 1 2); 38.24 deg, rel. 32.1, (0 2 0); 38.46 deg, rel. 14.5, (2 1 4); 49.91 deg, rel. 13.2, (1 2 4); 65.30 deg, rel. 19.7, (3 3 2)